No. 1
Diffraction record for SrGe3Pd5. The X-ray powder pattern is computed, not measured: it uses a crystal structure in Alexandria, relaxed with PBE and Cu Kα, 1.54184 Å.

Largest 12 diffraction maxima, by intensity, 15 to 90 degrees two-theta:
| Position (°2θ) | d [Å] | Rel. int. |
| --- | --- | --- |
| 31.25 | 2.862 | 100 |
| 36.35 | 2.472 | 98 |
| 43.63 | 2.075 | 92 |
| 45.41 | 1.997 | 91 |
| 46.65 | 1.947 | 65 |
| 33.41 | 2.682 | 64 |
| 42.12 | 2.145 | 57 |
| 41.23 | 2.190 | 56 |
| 15.16 | 5.843 | 54 |
| 44.14 | 2.052 | 43 |
| 30.34 | 2.946 | 37 |
| 52.52 | 1.742 | 32 |

Cell and atoms:
```
SrGe3Pd5
1.0
1.9973 -6.5453 0.0000
1.9973 6.5453 0.0000
0.0000 0.0000 12.9638
Sr Ge Pd
2 6 10
direct
0.1557 0.8443 0.7500 Sr
0.8443 0.1557 0.2500 Sr
0.1125 0.8875 0.2500 Ge
0.3821 0.6179 0.0402 Ge
0.3821 0.6179 0.4598 Ge
0.6179 0.3821 0.5402 Ge
0.6179 0.3821 0.9598 Ge
0.8875 0.1125 0.7500 Ge
0.0000 0.0000 0.0000 Pd
0.0000 0.0000 0.5000 Pd
0.2004 0.7996 0.0709 Pd
0.2004 0.7996 0.4291 Pd
0.4479 0.5521 0.6442 Pd
0.4479 0.5521 0.8558 Pd
0.5521 0.4479 0.1442 Pd
0.5521 0.4479 0.3558 Pd
0.7996 0.2004 0.5709 Pd
0.7996 0.2004 0.9291 Pd
```



No. 2
Diffraction record for SrPd2Pb. The X-ray powder pattern is computed, not measured: it uses a crystal structure in Alexandria, relaxed with PBE and Cu Kα, 1.54184 Å.

Largest 12 diffraction maxima, by intensity, 15 to 90 degrees two-theta:
| Position (°2θ) | d [Å] | Rel. int. |
| --- | --- | --- |
| 31.83 | 2.811 | 100 |
| 33.68 | 2.661 | 69 |
| 37.64 | 2.390 | 63 |
| 39.99 | 2.255 | 54 |
| 42.30 | 2.137 | 49 |
| 40.51 | 2.227 | 32 |
| 33.57 | 2.669 | 32 |
| 20.36 | 4.363 | 27 |
| 27.84 | 3.205 | 26 |
| 56.48 | 1.629 | 23 |
| 51.31 | 1.781 | 20 |
| 41.82 | 2.160 | 20 |

Cell and atoms:
```
SrPd2Pb
1.0
7.3525 0.0000 0.0000
0.0000 4.7799 0.0000
0.0000 0.0000 10.6768
Sr Pd Pb
4 8 4
direct
0.2118 0.2500 0.1623 Sr
0.2882 0.7500 0.6623 Sr
0.7118 0.2500 0.3377 Sr
0.7882 0.7500 0.8377 Sr
0.0564 0.2500 0.8834 Pd
0.2474 0.2500 0.4559 Pd
0.2526 0.7500 0.9559 Pd
0.4436 0.7500 0.3834 Pd
0.5564 0.2500 0.6166 Pd
0.7474 0.2500 0.0441 Pd
0.7526 0.7500 0.5441 Pd
0.9436 0.7500 0.1166 Pd
0.0580 0.7500 0.3748 Pb
0.4420 0.2500 0.8748 Pb
0.5580 0.7500 0.1252 Pb
0.9420 0.2500 0.6252 Pb
```



No. 3
Diffraction record for BaTh2Zn6. The X-ray powder pattern is computed, not measured: it uses a crystal structure in Alexandria, relaxed with PBE and Cu Kα, 1.54184 Å.

Largest 12 diffraction maxima, by intensity, 15 to 90 degrees two-theta:
| Position (°2θ) | d [Å] | Rel. int. |
| --- | --- | --- |
| 33.13 | 2.704 | 100 |
| 38.26 | 2.352 | 54 |
| 21.82 | 4.074 | 29 |
| 51.49 | 1.775 | 29 |
| 65.94 | 1.417 | 27 |
| 65.08 | 1.433 | 22 |
| 69.18 | 1.358 | 9 |
| 50.49 | 1.807 | 8 |
| 83.70 | 1.156 | 7 |
| 81.91 | 1.176 | 6 |
| 55.63 | 1.652 | 5 |
| 44.48 | 2.037 | 5 |

Cell and atoms:
```
BaTh2Zn6
1.0
8.1482 0.0000 0.0000
-4.0741 7.0566 0.0000
0.0000 0.0000 3.6150
Ba Th Zn
1 2 6
direct
0.0000 0.0000 0.0000 Ba
0.3333 0.6667 0.0000 Th
0.6667 0.3333 0.0000 Th
0.0000 0.3420 0.5000 Zn
0.0000 0.6580 0.5000 Zn
0.3420 0.0000 0.5000 Zn
0.3420 0.3420 0.5000 Zn
0.6580 0.0000 0.5000 Zn
0.6580 0.6580 0.5000 Zn
```



No. 4
Diffraction record for Ag3Hg. The X-ray powder pattern is computed, not measured: it uses a crystal structure in Alexandria, relaxed with PBE and Cu Kα, 1.54184 Å.

Largest 12 diffraction maxima, by intensity, 15 to 90 degrees two-theta:
| Position (°2θ) | d [Å] | Rel. int. |
| --- | --- | --- |
| 37.66 | 2.388 | 100 |
| 37.97 | 2.370 | 97 |
| 37.43 | 2.402 | 51 |
| 38.09 | 2.363 | 48 |
| 68.54 | 1.369 | 41 |
| 54.47 | 1.685 | 33 |
| 67.48 | 1.388 | 17 |
| 68.09 | 1.377 | 17 |
| 54.63 | 1.680 | 17 |
| 68.75 | 1.365 | 16 |
| 80.41 | 1.194 | 11 |
| 81.18 | 1.185 | 10 |

Cell and atoms:
```
Ag3Hg
1.0
2.9470 0.0000 0.0000
0.0000 4.7254 0.0000
-0.9453 0.0000 5.4781
Ag Hg
3 1
direct
0.0000 0.0000 0.0000 Ag
0.2589 0.5000 0.7567 Ag
0.7411 0.5000 0.2433 Ag
0.5000 0.0000 0.5000 Hg
```



No. 5
Diffraction record for HfS. The X-ray powder pattern is computed, not measured: it uses a crystal structure in Alexandria, relaxed with PBE and Cu Kα, 1.54184 Å.

Largest 12 diffraction maxima, by intensity, 15 to 90 degrees two-theta:
| Position (°2θ) | d [Å] | Rel. int. |
| --- | --- | --- |
| 40.43 | 2.231 | 100 |
| 27.25 | 3.273 | 81 |
| 34.76 | 2.581 | 64 |
| 30.12 | 2.967 | 38 |
| 46.64 | 1.947 | 37 |
| 53.85 | 1.702 | 25 |
| 65.71 | 1.421 | 20 |
| 62.95 | 1.477 | 19 |
| 73.96 | 1.282 | 19 |
| 61.39 | 1.510 | 18 |
| 60.58 | 1.528 | 17 |
| 61.05 | 1.518 | 16 |

Cell and atoms:
```
HfS
1.0
3.4047 0.0000 0.0000
0.0000 3.4047 0.0000
0.0000 0.0000 11.8694
Hf S
4 4
direct
0.0000 0.0000 0.0000 Hf
0.0000 0.5000 0.2500 Hf
0.5000 0.0000 0.7500 Hf
0.5000 0.5000 0.5000 Hf
0.0000 0.0000 0.5834 S
0.0000 0.5000 0.8334 S
0.5000 0.0000 0.3334 S
0.5000 0.5000 0.0834 S
```



No. 6
Diffraction record for BaCe2SnN4. The X-ray powder pattern is computed, not measured: it uses a crystal structure in Alexandria, relaxed with PBE and Cu Kα, 1.54184 Å.

Largest 12 diffraction maxima, by intensity, 15 to 90 degrees two-theta:
| Position (°2θ) | d [Å] | Rel. int. |
| --- | --- | --- |
| 28.76 | 3.105 | 100 |
| 35.30 | 2.543 | 75 |
| 28.49 | 3.133 | 43 |
| 29.12 | 3.067 | 41 |
| 32.88 | 2.724 | 31 |
| 49.01 | 1.858 | 28 |
| 26.02 | 3.424 | 25 |
| 57.51 | 1.602 | 22 |
| 49.44 | 1.844 | 22 |
| 41.19 | 2.192 | 21 |
| 48.44 | 1.879 | 21 |
| 29.42 | 3.036 | 16 |

Cell and atoms:
```
BaCe2SnN4
1.0
1.8791 -6.2668 0.0000
1.8791 6.2668 0.0000
0.0000 0.0000 12.2667
Ba Ce Sn N
2 4 2 8
direct
0.0968 0.9032 0.7500 Ba
0.9032 0.0968 0.2500 Ba
0.3719 0.6281 0.5398 Ce
0.3719 0.6281 0.9602 Ce
0.6281 0.3719 0.0398 Ce
0.6281 0.3719 0.4602 Ce
0.1673 0.8327 0.2500 Sn
0.8327 0.1673 0.7500 Sn
0.0000 0.0000 0.0000 N
0.0000 0.0000 0.5000 N
0.2632 0.7368 0.1103 N
0.2632 0.7368 0.3897 N
0.4175 0.5825 0.7500 N
0.5825 0.4175 0.2500 N
0.7368 0.2632 0.6103 N
0.7368 0.2632 0.8897 N
```



No. 7
Diffraction record for Rb5Pb6Cl16. The X-ray powder pattern is computed, not measured: it uses a crystal structure in Alexandria, relaxed with PBE and Cu Kα, 1.54184 Å.

Largest 12 diffraction maxima, by intensity, 15 to 90 degrees two-theta:
| Position (°2θ) | d [Å] | Rel. int. |
| --- | --- | --- |
| 22.98 | 3.870 | 100 |
| 22.65 | 3.926 | 86 |
| 34.09 | 2.630 | 73 |
| 32.21 | 2.779 | 68 |
| 45.77 | 1.983 | 50 |
| 29.65 | 3.013 | 45 |
| 33.79 | 2.653 | 43 |
| 20.23 | 4.390 | 42 |
| 15.96 | 5.552 | 36 |
| 16.43 | 5.397 | 25 |
| 36.32 | 2.474 | 24 |
| 42.63 | 2.121 | 23 |

Cell and atoms:
```
Rb5Pb6Cl16
1.0
12.4156 0.0000 0.0000
0.0000 12.4156 0.0000
0.0000 0.0000 10.7949
Rb Pb Cl
10 12 32
direct
0.0000 0.0000 0.0000 Rb
0.1217 0.3783 0.0000 Rb
0.1383 0.3617 0.5000 Rb
0.3617 0.8617 0.5000 Rb
0.3783 0.8783 0.0000 Rb
0.5000 0.5000 0.0000 Rb
0.6217 0.1217 0.0000 Rb
0.6383 0.1383 0.5000 Rb
0.8617 0.6383 0.5000 Rb
0.8783 0.6217 0.0000 Rb
0.0000 0.0000 0.3478 Pb
0.0000 0.0000 0.6522 Pb
0.1746 0.6746 0.2673 Pb
0.1746 0.6746 0.7327 Pb
0.3254 0.1746 0.2673 Pb
0.3254 0.1746 0.7327 Pb
0.5000 0.5000 0.3478 Pb
0.5000 0.5000 0.6522 Pb
0.6746 0.8254 0.2673 Pb
0.6746 0.8254 0.7327 Pb
0.8254 0.3254 0.2673 Pb
0.8254 0.3254 0.7327 Pb
0.0000 0.5000 0.2812 Cl
0.0000 0.5000 0.7188 Cl
0.0859 0.7830 0.5000 Cl
0.0999 0.1901 0.2166 Cl
0.0999 0.1901 0.7834 Cl
0.1471 0.6471 0.0000 Cl
0.1901 0.9001 0.2166 Cl
0.1901 0.9001 0.7834 Cl
0.2170 0.0859 0.5000 Cl
0.2830 0.5859 0.5000 Cl
0.3099 0.4001 0.2166 Cl
0.3099 0.4001 0.7834 Cl
0.3529 0.1471 0.0000 Cl
0.4001 0.6901 0.2166 Cl
0.4001 0.6901 0.7834 Cl
0.4141 0.2830 0.5000 Cl
0.5000 0.0000 0.2812 Cl
0.5000 0.0000 0.7188 Cl
0.5859 0.7170 0.5000 Cl
0.5999 0.3099 0.2166 Cl
0.5999 0.3099 0.7834 Cl
0.6471 0.8529 0.0000 Cl
0.6901 0.5999 0.2166 Cl
0.6901 0.5999 0.7834 Cl
0.7170 0.4141 0.5000 Cl
0.7830 0.9141 0.5000 Cl
0.8099 0.0999 0.2166 Cl
0.8099 0.0999 0.7834 Cl
0.8529 0.3529 0.0000 Cl
0.9001 0.8099 0.2166 Cl
0.9001 0.8099 0.7834 Cl
0.9141 0.2170 0.5000 Cl
```



No. 8
Diffraction record for ZnB2H8. The X-ray powder pattern is computed, not measured: it uses a crystal structure in Alexandria, relaxed with PBE and Cu Kα, 1.54184 Å.

Largest 12 diffraction maxima, by intensity, 15 to 90 degrees two-theta:
| Position (°2θ) | d [Å] | Rel. int. |
| --- | --- | --- |
| 23.57 | 3.774 | 100 |
| 36.95 | 2.433 | 42 |
| 45.05 | 2.012 | 36 |
| 30.57 | 2.924 | 35 |
| 26.50 | 3.364 | 33 |
| 39.53 | 2.280 | 29 |
| 25.29 | 3.522 | 26 |
| 47.51 | 1.914 | 18 |
| 48.22 | 1.887 | 18 |
| 47.99 | 1.896 | 15 |
| 62.67 | 1.482 | 12 |
| 40.89 | 2.207 | 12 |

Cell and atoms:
```
ZnB2H8
1.0
-3.3639 3.3639 6.2005
3.3639 -3.3639 6.2005
3.3639 3.3639 -6.2005
Zn B H
2 4 16
direct
0.0000 0.0000 0.0000 Zn
0.7500 0.2500 0.5000 Zn
0.3750 0.0550 0.1800 B
0.8050 0.1250 0.1800 B
0.8750 0.1950 0.8200 B
0.9450 0.6250 0.8200 B
0.0305 0.3124 0.0712 H
0.0407 0.7588 0.0712 H
0.0624 0.4912 0.7819 H
0.2412 0.9593 0.9288 H
0.3047 0.0916 0.3032 H
0.4453 0.2485 0.2870 H
0.5088 0.9376 0.2181 H
0.6876 0.9695 0.9288 H
0.7093 0.2805 0.2181 H
0.7195 0.2907 0.7819 H
0.7515 0.5547 0.7130 H
0.7885 0.0015 0.6968 H
0.8416 0.0385 0.2870 H
0.9084 0.6953 0.6968 H
0.9615 0.1584 0.7130 H
0.9985 0.2115 0.3032 H
```